Record 1
Cs4RbBr4: computed powder XRD pattern (Cu Kα (weighted mean of Kα1 and Kα2)), based on a structure optimized by DFT (PBE).

Principal peaks in the range 2θ = 10–80°, low angle first:
| 2θ/deg | intensity |
| --- | --- |
| 20.97 | 25 |
| 24.12 | 51 |
| 24.33 | 100 |
| 34.52 | 81 |
| 34.60 | 20 |
| 34.75 | 19 |
| 42.62 | 22 |
| 42.75 | 21 |
| 55.81 | 20 |
| 56.11 | 19 |
| 61.76 | 14 |
| 61.95 | 14 |

```
9
Lattice="8.1680 -3.6895 0.0000 8.1680 3.6895 0.0000 -8.1469 0.0000 8.1951" Properties=species:S:1:pos:R:3 pbc="T T T"
Cs -1.6395 0.0000 3.2824
Cs 3.2726 0.0000 1.6516
Cs 4.9166 0.0000 6.5434
Cs 9.8286 0.0000 4.9127
Rb 8.1680 0.0000 0.0000
Br -3.1702 0.0000 6.5990
Br 1.6054 0.0000 4.9982
Br 6.5837 0.0000 3.1969
Br 11.3594 0.0000 1.5961
```

***

Record 2
Cs8Rb3Br: computed powder XRD pattern (Cu Kα (weighted mean of Kα1 and Kα2)), based on a structure optimized by DFT (PBE).

Principal peaks in the range 2θ = 10–80°, low angle first:
| 2θ/deg | intensity |
| --- | --- |
| 18.83 | 13 |
| 19.42 | 35 |
| 20.03 | 100 |
| 21.69 | 54 |
| 23.13 | 18 |
| 23.27 | 23 |
| 23.59 | 48 |
| 28.73 | 16 |
| 35.71 | 21 |
| 37.43 | 33 |
| 41.27 | 17 |
| 51.23 | 14 |

```
24
Lattice="15.0862 0.0000 0.0000 -7.5431 13.0650 0.0000 0.0000 0.0000 12.0730" Properties=species:S:1:pos:R:3 pbc="T T T"
Cs 0.0000 0.0000 2.2338
Cs 0.0000 0.0000 8.2703
Cs -2.8416 7.0694 2.3814
Cs 0.0000 5.4795 6.0365
Cs -2.7977 10.3253 6.0365
Cs 0.0000 8.7100 10.1899
Cs 4.7454 2.7397 0.0000
Cs 2.8416 7.0694 2.3814
Cs 0.0000 11.9912 2.3814
Cs 7.5431 1.0739 8.4179
Cs 4.7015 5.9956 8.4179
Cs 2.7977 10.3253 6.0365
Cs 7.5431 4.3550 4.1534
Cs 10.3408 2.7397 0.0000
Cs 7.5431 7.5855 0.0000
Cs 10.3846 5.9956 8.4179
Rb 0.0000 3.9661 11.1806
Rb -4.1083 11.0819 11.1806
Rb 3.4348 1.9831 5.1441
Rb 4.1083 11.0819 11.1806
Rb 11.6514 1.9831 5.1441
Rb 7.5431 9.0989 5.1441
Br 0.0000 8.7100 4.1447
Br 7.5431 4.3550 10.1812
```

***

Record 3
CsRb2SbBr8: computed powder XRD pattern (Cu Kα (weighted mean of Kα1 and Kα2)), based on a structure optimized by DFT (PBE).

Principal peaks in the range 2θ = 10–80°, low angle first:
| 2θ/deg | intensity |
| --- | --- |
| 14.99 | 58 |
| 21.00 | 60 |
| 22.41 | 100 |
| 25.14 | 57 |
| 27.31 | 96 |
| 27.73 | 40 |
| 29.87 | 82 |
| 30.18 | 43 |
| 32.55 | 40 |
| 33.37 | 37 |
| 35.80 | 60 |
| 51.61 | 33 |

```
12
Lattice="6.5065 0.0000 0.0000 3.2519 7.5952 0.0000 1.7554 0.2167 10.0408" Properties=species:S:1:pos:R:3 pbc="T T T"
Cs 0.0000 0.0000 0.0000
Rb 3.0638 3.5507 2.4689
Rb 8.4500 4.2613 7.5719
Sb 0.8777 0.1083 5.0204
Br 2.9875 1.6861 5.4007
Br 5.1103 5.8675 6.7749
Br 4.6644 2.5678 9.3226
Br 5.3295 6.5179 2.9888
Br 6.1842 1.2941 7.0520
Br 6.8493 5.2442 0.7182
Br 6.4034 1.9445 3.2658
Br 8.5262 6.1258 4.6400
```

***

Record 4
Cs4RbSc3Br12: computed powder XRD pattern (Cu Kα (weighted mean of Kα1 and Kα2)), based on a structure optimized by DFT (PBE).

Principal peaks in the range 2θ = 10–80°, low angle first:
| 2θ/deg | intensity |
| --- | --- |
| 21.97 | 28 |
| 26.99 | 100 |
| 31.27 | 92 |
| 38.54 | 11 |
| 44.80 | 64 |
| 50.44 | 7 |
| 53.09 | 41 |
| 55.64 | 22 |
| 60.55 | 7 |
| 65.22 | 10 |
| 71.93 | 16 |
| 74.11 | 26 |

```
20
Lattice="-5.7218 5.7218 5.7218 5.7218 -5.7218 5.7218 5.7218 5.7218 -5.7218" Properties=species:S:1:pos:R:3 pbc="T T T"
Cs 2.8609 2.8609 -2.8609
Cs 2.8609 -2.8609 2.8609
Cs -2.8609 2.8609 2.8609
Cs 2.8609 2.8609 2.8609
Rb 0.0000 0.0000 0.0000
Sc 5.7218 0.0000 0.0000
Sc 0.0000 5.7218 0.0000
Sc 0.0000 0.0000 5.7218
Br 3.1207 0.0000 0.0000
Br 8.3228 0.0000 0.0000
Br 5.7218 2.8609 0.0000
Br 5.7218 0.0000 2.8609
Br 0.0000 3.1207 0.0000
Br 0.0000 0.0000 3.1207
Br 2.8609 5.7218 0.0000
Br 2.8609 0.0000 5.7218
Br 0.0000 8.3228 0.0000
Br 0.0000 0.0000 8.3228
Br 0.0000 5.7218 2.8609
Br 0.0000 2.8609 5.7218
```

***

Record 5
Cs3RbSc2Br9: computed powder XRD pattern (Cu Kα (weighted mean of Kα1 and Kα2)), based on a structure optimized by DFT (PBE).

Principal peaks in the range 2θ = 10–80°, low angle first:
| 2θ/deg | intensity |
| --- | --- |
| 20.80 | 19 |
| 22.45 | 15 |
| 24.47 | 16 |
| 27.25 | 78 |
| 30.79 | 100 |
| 35.99 | 26 |
| 42.33 | 18 |
| 45.82 | 34 |
| 49.50 | 18 |
| 56.22 | 17 |
| 57.51 | 17 |
| 75.35 | 14 |

```
15
Lattice="7.9217 0.0000 0.0000 -3.9609 6.8604 0.0000 0.0000 0.0000 10.9114" Properties=species:S:1:pos:R:3 pbc="T T T"
Cs 0.0000 0.0000 0.0000
Cs 0.0000 4.5736 7.8463
Cs 3.9609 2.2868 3.0651
Rb 0.0000 0.0000 5.4557
Sc 0.0000 4.5736 1.6393
Sc 3.9609 2.2868 9.2721
Br -1.9804 3.4302 0.0000
Br 0.0000 2.3735 3.1059
Br -1.9053 5.6736 3.1059
Br 2.0555 1.1868 7.8055
Br 3.9609 0.0000 0.0000
Br 1.9804 3.4302 0.0000
Br 1.9053 5.6736 3.1059
Br 5.8662 1.1868 7.8055
Br 3.9609 4.4869 7.8055
```

***

Record 6
CsRb2Sr2Br7: computed powder XRD pattern (Cu Kα (weighted mean of Kα1 and Kα2)), based on a structure optimized by DFT (PBE).

Principal peaks in the range 2θ = 10–80°, low angle first:
| 2θ/deg | intensity |
| --- | --- |
| 17.41 | 47 |
| 21.05 | 39 |
| 23.81 | 50 |
| 25.62 | 47 |
| 26.78 | 31 |
| 27.63 | 96 |
| 27.85 | 52 |
| 29.31 | 100 |
| 32.18 | 33 |
| 40.72 | 66 |
| 43.15 | 34 |
| 44.07 | 32 |

```
12
Lattice="-3.0476 13.9089 3.2282 3.0476 -13.9089 3.2282 3.0476 13.9089 -3.2282" Properties=species:S:1:pos:R:3 pbc="T T T"
Cs 0.0000 0.0000 0.0000
Rb 3.0476 6.4129 0.5929
Rb 0.0000 7.4960 3.8210
Sr 0.0000 10.9424 0.5682
Sr 0.0000 16.8754 0.5682
Br 3.0476 2.9419 0.6315
Br 0.0000 7.8776 0.5938
Br 3.0476 10.8744 0.7370
Br 0.0000 13.9089 0.8759
Br 0.0000 3.0345 3.9652
Br 0.0000 19.9402 0.5938
Br 0.0000 10.9670 3.8597
```

***

Record 7
CsRbSrBr4: computed powder XRD pattern (Cu Kα (weighted mean of Kα1 and Kα2)), based on a structure optimized by DFT (PBE).

Principal peaks in the range 2θ = 10–80°, low angle first:
| 2θ/deg | intensity |
| --- | --- |
| 21.03 | 72 |
| 23.27 | 42 |
| 28.98 | 99 |
| 29.76 | 37 |
| 29.93 | 100 |
| 42.12 | 22 |
| 42.72 | 54 |
| 42.84 | 37 |
| 52.55 | 30 |
| 53.03 | 28 |
| 70.50 | 28 |
| 78.39 | 18 |

```
14
Lattice="5.9710 0.0000 0.0000 0.0000 5.9710 0.0000 0.0000 0.0000 18.0096" Properties=species:S:1:pos:R:3 pbc="T T T"
Cs 0.0000 0.0000 0.0000
Cs 2.9855 2.9855 9.0048
Rb 0.0000 0.0000 12.9269
Rb 2.9855 2.9855 3.9221
Sr 0.0000 0.0000 6.4921
Sr 2.9855 2.9855 15.4969
Br 0.0000 0.0000 3.4820
Br 0.0000 0.0000 9.5167
Br 0.0000 2.9855 6.4001
Br 0.0000 2.9855 15.4049
Br 2.9855 0.0000 6.4001
Br 2.9855 0.0000 15.4049
Br 2.9855 2.9855 0.5119
Br 2.9855 2.9855 12.4868
```

***

Record 8
CsRbTlBr3: computed powder XRD pattern (Cu Kα (weighted mean of Kα1 and Kα2)), based on a structure optimized by DFT (PBE).

Principal peaks in the range 2θ = 10–80°, low angle first:
| 2θ/deg | intensity |
| --- | --- |
| 22.87 | 51 |
| 23.67 | 22 |
| 24.02 | 100 |
| 27.92 | 52 |
| 28.27 | 27 |
| 29.96 | 32 |
| 31.60 | 38 |
| 36.68 | 42 |
| 36.93 | 40 |
| 37.42 | 26 |
| 40.29 | 23 |
| 46.72 | 27 |

```
12
Lattice="8.6326 0.0000 0.0000 0.0000 4.9003 0.0000 -2.7856 0.0000 12.5824" Properties=species:S:1:pos:R:3 pbc="T T T"
Cs 0.7774 1.2251 2.4421
Cs 5.0697 3.6752 10.1403
Rb 0.7635 3.6752 6.9640
Rb 5.0836 1.2251 5.6185
Tl 0.7508 1.2251 10.8442
Tl 5.0963 3.6752 1.7382
Br -1.3678 1.2251 8.3816
Br -0.6493 3.6752 12.4714
Br 2.9548 3.6752 4.2635
Br 2.8922 1.2251 8.3189
Br 6.4963 1.2251 0.1110
Br 7.2149 3.6752 4.2009
```

***

Record 9
CsRbUBr6: computed powder XRD pattern (Cu Kα (weighted mean of Kα1 and Kα2)), based on a structure optimized by DFT (PBE).

Principal peaks in the range 2θ = 10–80°, low angle first:
| 2θ/deg | intensity |
| --- | --- |
| 12.42 | 25 |
| 13.60 | 76 |
| 17.37 | 100 |
| 21.03 | 21 |
| 24.49 | 80 |
| 27.40 | 29 |
| 32.88 | 99 |
| 34.79 | 41 |
| 36.85 | 46 |
| 37.63 | 23 |
| 43.72 | 20 |
| 50.23 | 39 |

```
18
Lattice="8.4504 0.0000 0.0000 -4.2252 7.3183 0.0000 0.0000 0.0000 14.2522" Properties=species:S:1:pos:R:3 pbc="T T T"
Cs 0.0000 0.0000 0.0000
Cs 0.0000 0.0000 7.1261
Rb 0.0000 4.8788 3.5631
Rb 4.2252 2.4394 10.6892
U 0.0000 4.8788 10.6892
U 4.2252 2.4394 3.5631
Br -1.1799 2.9318 9.0640
Br -2.2761 4.8306 12.3143
Br 1.1799 2.9318 12.3143
Br -1.0963 6.8742 9.0640
Br 3.1289 0.4441 1.9379
Br 1.9491 2.4877 5.1882
Br 2.2761 4.8306 9.0640
Br 1.0963 6.8742 12.3143
Br 5.3215 0.4441 5.1882
Br 3.0453 4.3865 1.9379
Br 6.5013 2.4877 1.9379
Br 5.4051 4.3865 5.1882
```

***

Record 10
Cs3RbV2Br9: computed powder XRD pattern (Cu Kα (weighted mean of Kα1 and Kα2)), based on a structure optimized by DFT (PBE).

Principal peaks in the range 2θ = 10–80°, low angle first:
| 2θ/deg | intensity |
| --- | --- |
| 21.24 | 22 |
| 22.89 | 16 |
| 25.02 | 15 |
| 27.80 | 75 |
| 31.42 | 100 |
| 33.57 | 14 |
| 36.75 | 27 |
| 43.26 | 17 |
| 46.76 | 34 |
| 50.62 | 18 |
| 57.43 | 17 |
| 58.78 | 16 |

```
15
Lattice="7.7708 0.0000 0.0000 -3.8854 6.7297 0.0000 0.0000 0.0000 10.6792" Properties=species:S:1:pos:R:3 pbc="T T T"
Cs 0.0000 0.0000 0.0000
Cs 0.0000 4.4865 7.6588
Cs 3.8854 2.2432 3.0203
Rb 0.0000 0.0000 5.3396
V 0.0000 4.4865 1.5866
V 3.8854 2.2432 9.0925
Br -1.9427 3.3649 0.0000
Br 0.0000 2.3910 3.0119
Br -1.8148 5.5342 3.0119
Br 2.0706 1.1955 7.6673
Br 3.8854 0.0000 0.0000
Br 1.9427 3.3649 0.0000
Br 1.8148 5.5342 3.0119
Br 5.7002 1.1955 7.6673
Br 3.8854 4.3387 7.6673
```

***

Record 11
CsReBr3: computed powder XRD pattern (Cu Kα (weighted mean of Kα1 and Kα2)), based on a structure optimized by DFT (PBE).

Principal peaks in the range 2θ = 10–80°, low angle first:
| 2θ/deg | intensity |
| --- | --- |
| 13.65 | 76 |
| 14.78 | 100 |
| 15.21 | 87 |
| 15.85 | 58 |
| 22.25 | 44 |
| 26.15 | 88 |
| 27.41 | 61 |
| 28.87 | 75 |
| 32.31 | 38 |
| 37.52 | 30 |
| 45.17 | 40 |
| 47.32 | 30 |

```
10
Lattice="5.1120 0.0000 0.0000 2.5531 6.4934 0.0000 2.5205 -0.5876 11.9854" Properties=species:S:1:pos:R:3 pbc="T T T"
Cs 0.0000 0.0000 0.0000
Cs 5.0690 2.9797 9.2836
Re 3.8072 1.4952 4.6445
Re 6.3741 1.4954 4.6446
Br 2.5344 0.7076 6.6879
Br 2.5352 2.2809 2.5999
Br 5.0904 3.5355 5.4158
Br 7.6359 5.9040 9.2844
Br 7.6228 2.9802 11.9852
Br 7.6442 5.9483 3.8733
```

***

Record 12
Cs3ReBr6: computed powder XRD pattern (Cu Kα (weighted mean of Kα1 and Kα2)), based on a structure optimized by DFT (PBE).

Principal peaks in the range 2θ = 10–80°, low angle first:
| 2θ/deg | intensity |
| --- | --- |
| 12.92 | 24 |
| 14.93 | 29 |
| 21.18 | 90 |
| 26.01 | 30 |
| 30.13 | 100 |
| 37.12 | 32 |
| 39.46 | 18 |
| 43.13 | 65 |
| 48.53 | 31 |
| 53.51 | 20 |
| 58.18 | 29 |
| 71.06 | 22 |

```
10
Lattice="0.0000 5.9326 5.9326 5.9326 0.0000 5.9326 5.9326 5.9326 0.0000" Properties=species:S:1:pos:R:3 pbc="T T T"
Cs 0.0000 0.0000 0.0000
Cs 2.9663 2.9663 2.9663
Cs 8.8989 8.8989 8.8989
Re 5.9326 5.9326 5.9326
Br 5.9326 5.9326 3.3772
Br 5.9326 3.3772 5.9326
Br 8.4880 5.9326 5.9326
Br 3.3772 5.9326 5.9326
Br 5.9326 8.4880 5.9326
Br 5.9326 5.9326 8.4880
```

***

Record 13
Cs2RhBr5: computed powder XRD pattern (Cu Kα (weighted mean of Kα1 and Kα2)), based on a structure optimized by DFT (PBE).

Principal peaks in the range 2θ = 10–80°, low angle first:
| 2θ/deg | intensity |
| --- | --- |
| 14.11 | 64 |
| 23.56 | 46 |
| 28.45 | 100 |
| 31.73 | 68 |
| 35.32 | 27 |
| 39.90 | 17 |
| 41.79 | 18 |
| 45.49 | 22 |
| 48.20 | 40 |
| 54.52 | 23 |
| 58.86 | 19 |
| 59.25 | 13 |

```
16
Lattice="7.9765 0.0000 0.0000 0.0000 7.9765 0.0000 0.0000 0.0000 10.1661" Properties=species:S:1:pos:R:3 pbc="T T T"
Cs 0.0000 3.9882 0.0000
Cs 0.0000 3.9882 5.0830
Cs 3.9882 0.0000 0.0000
Cs 3.9882 0.0000 5.0830
Rh 0.0000 0.0000 2.3574
Rh 3.9882 3.9882 7.4405
Br 0.0000 0.0000 10.1232
Br 1.7626 1.7626 2.5416
Br 1.7626 6.2138 2.5416
Br 2.2256 2.2256 7.6246
Br 2.2256 5.7508 7.6246
Br 3.9882 3.9882 5.0401
Br 5.7508 2.2256 7.6246
Br 5.7508 5.7508 7.6246
Br 6.2138 1.7626 2.5416
Br 6.2138 6.2138 2.5416
```